[1]
Starting from a structure optimized by DFT (GGA-PBE), the powder diffractogram of TlBiAuS2 was simulated for Cu Ka.

Largest 6 diffraction maxima, in order of rising 2θ, 15 to 90 degrees two-theta:
2θ 25.61, d 3.479, I = 36, (1 1 1)
2θ 25.80, d 3.454, I = 71, (2 0 0)
2θ 29.47, d 3.031, I = 100, (1 1 -2)
2θ 32.49, d 2.755, I = 84, (1 1 2)
2θ 43.53, d 2.079, I = 27, (0 0 4)
2θ 45.68, d 1.986, I = 43, (3 1 -2)

a b c (Å): 7.0019 4.9090 8.4308
angles (deg): 90.00 99.44 90.00
Space group P2/c (No. 13)
Symmetry-distinct sites (fractional):
Tl: 0.0000 0.1254 0.2500
Bi: 0.5000 0.4528 0.7500
Au: 0.5000 0.0000 0.0000
S: 0.2442 0.3194 0.9723

---

[2]
Starting from a structure optimized by DFT (GGA-PBE), the powder diffractogram of La2Bi2Sb was simulated for Cu Ka.

Largest 6 diffraction maxima, in order of rising 2θ, 15 to 90 degrees two-theta:
2θ 30.34, d 2.946, I = 100, (2 1 1)
2θ 32.87, d 2.725, I = 36, (3 1 0)
2θ 39.42, d 2.286, I = 15, (0 0 2)
2θ 47.86, d 1.901, I = 14, (4 1 1)
2θ 52.23, d 1.751, I = 20, (3 1 2)
2θ 61.39, d 1.510, I = 20, (5 2 1)

a b c (Å): 8.6160 8.6160 4.5722
angles (deg): 90.00 90.00 90.00
Space group P4/mbm (No. 127)
Symmetry-distinct sites (fractional):
La: 0.1593 0.3407 0.0000
Bi: 0.1500 0.6500 0.5000
Sb: 0.0000 0.0000 0.0000

---

[3]
Starting from a structure optimized by DFT (GGA-PBE), the powder diffractogram of Pm3HoEr2 was simulated for Cu Ka.

Largest 6 diffraction maxima, in order of rising 2θ, 15 to 90 degrees two-theta:
2θ 28.76, d 3.104, I = 37, (2 2 1)
2θ 31.01, d 2.884, I = 50, (0 0 3)
2θ 31.77, d 2.817, I = 100, (2 0 -1)
2θ 33.46, d 2.678, I = 88, (2 0 2)
2θ 50.57, d 1.805, I = 38, (4 2 1)
2θ 60.49, d 1.531, I = 37, (2 4 4)

a b c (Å): 7.2140 7.2208 8.9037
angles (deg): 78.26 78.20 60.07
Space group P-1 (No. 2)
Symmetry-distinct sites (fractional):
Pm: 0.1394 0.1390 0.1664
Pm: 0.1399 0.6384 0.1646
Pm: 0.2517 0.2491 0.5032
Ho: 0.2516 0.7485 0.5020
Er: 0.3632 0.8603 0.8337
Er: 0.3643 0.3606 0.8321

---

[4]
Starting from a structure optimized by DFT (GGA-PBE), the powder diffractogram of Sr2TbGaCu2O7 was simulated for Cu Ka.

Largest 6 diffraction maxima, in order of rising 2θ, 15 to 90 degrees two-theta:
2θ 32.40, d 2.763, I = 28, (0 2 0)
2θ 32.71, d 2.738, I = 100, (6 1 1)
2θ 33.08, d 2.708, I = 30, (0 0 2)
2θ 38.75, d 2.324, I = 29, (8 1 1)
2θ 46.96, d 1.935, I = 38, (0 2 2)
2θ 58.85, d 1.569, I = 19, (6 1 3)

a b c (Å): 23.2515 5.5265 5.4160
angles (deg): 90.00 90.00 90.00
Space group Ima2 (No. 46)
Symmetry-distinct sites (fractional):
Sr: 0.1516 0.0177 0.0000
Tb: 0.0000 0.0000 0.9967
Ga: 0.2500 0.5696 0.0368
Cu: 0.0717 0.5010 0.9964
O: 0.0620 0.2465 0.7497
O: 0.0639 0.7474 0.7436
O: 0.1768 0.0445 0.4707
O: 0.2500 0.6155 0.3891

---

[5]
Starting from a structure optimized by DFT (GGA-PBE), the powder diffractogram of NaPr2GeO5 was simulated for Cu Ka.

Largest 6 diffraction maxima, in order of rising 2θ, 15 to 90 degrees two-theta:
2θ 15.14, d 5.851, I = 77, (0 0 1)
2θ 18.27, d 4.856, I = 37, (1 1 0)
2θ 30.18, d 2.962, I = 100, (2 0 1)
2θ 30.56, d 2.925, I = 40, (0 0 2)
2θ 32.94, d 2.720, I = 99, (2 1 1)
2θ 42.68, d 2.118, I = 72, (2 1 2)

a b c (Å): 6.8681 6.8681 5.8510
angles (deg): 90.00 90.00 90.00
Space group P4/mbm (No. 127)
Symmetry-distinct sites (fractional):
Na: 0.0000 0.0000 0.0000
Pr: 0.1778 0.3222 0.5000
Ge: 0.0000 0.5000 0.0000
O: 0.0000 0.0000 0.5000
O: 0.1346 0.6346 0.2421

---

[6]
Starting from a structure optimized by DFT (GGA-PBE), the powder diffractogram of NaHgBiAs was simulated for Cu Ka.

Largest 6 diffraction maxima, in order of rising 2θ, 15 to 90 degrees two-theta:
2θ 20.65, d 4.301, I = 41, (1 1 1)
2θ 34.04, d 2.634, I = 100, (2 2 0)
2θ 40.15, d 2.246, I = 24, (3 1 1)
2θ 48.91, d 1.862, I = 18, (4 0 0)
2θ 60.93, d 1.521, I = 38, (4 2 2)
2θ 81.76, d 1.178, I = 17, (6 2 0)

a b c (Å): 7.4495 7.4495 7.4495
angles (deg): 90.00 90.00 90.00
Space group F-43m (No. 216)
Symmetry-distinct sites (fractional):
Na: 0.0000 0.0000 0.0000
Hg: 0.2500 0.2500 0.2500
Bi: 0.0000 0.0000 0.5000
As: 0.2500 0.2500 0.7500